[1]
TmBeFeGe3: calculated powder diffraction line list (Cu Kα, 1.54184 Å), based on the GGA-PBE geometry in Alexandria.
Lines closer than 0.1° are merged.

Structural model:
Lattice parameters (Å, degrees): 6.0178 6.0178 6.9613 90.00 90.00 124.34
Sites, in units of the cell vectors:
1 Tm 0.2132 0.7868 0.7500
2 Tm 0.7868 0.2132 0.2500
3 Be 0.4818 0.5182 0.7500
4 Be 0.5182 0.4818 0.2500
5 Fe 0.0976 0.9024 0.2500
6 Fe 0.9024 0.0976 0.7500
7 Ge 0.2354 0.2354 0.0000
8 Ge 0.2354 0.2354 0.5000
9 Ge 0.3095 0.6905 0.2500
10 Ge 0.6905 0.3095 0.7500
11 Ge 0.7646 0.7646 0.0000
12 Ge 0.7646 0.7646 0.5000

The 12 most intense peaks (5° ≤ 2θ ≤ 70°), low angle first:
2theta	I/Imax
17.85	151
25.59	182
30.69	993
32.50	359
33.68	168
36.15	1000
41.30	845
48.93	307
52.59	208
54.31	169
63.43	165
65.48	222

=====

[2]
ThBeGaRh3: calculated powder diffraction line list (Cu Kα, 1.54184 Å), based on the GGA-PBE geometry in Alexandria.
Lines closer than 0.1° are merged.

Structural model:
Lattice parameters (Å, degrees): 6.5954 6.5954 5.9225 90.00 90.00 127.62
Sites, in units of the cell vectors:
1 Th 0.2144 0.7856 0.7500
2 Th 0.7856 0.2144 0.2500
3 Be 0.4704 0.5296 0.7500
4 Be 0.5296 0.4704 0.2500
5 Ga 0.1276 0.8724 0.2500
6 Ga 0.8724 0.1276 0.7500
7 Rh 0.2372 0.2372 0.0000
8 Rh 0.2372 0.2372 0.5000
9 Rh 0.3304 0.6696 0.2500
10 Rh 0.6696 0.3304 0.7500
11 Rh 0.7628 0.7628 0.0000
12 Rh 0.7628 0.7628 0.5000

The 12 most intense peaks (5° ≤ 2θ ≤ 70°), low angle first:
2theta	I/Imax
21.22	135
30.19	221
31.27	392
33.85	1000
34.33	714
43.60	709
44.03	200
46.36	215
48.64	127
58.64	146
63.98	166
65.24	149

=====

[3]
ErPu2O6: calculated powder diffraction line list (Cu Kα, 1.54184 Å), based on the GGA-PBE geometry in Alexandria.
Lines closer than 0.1° are merged.

Structural model:
Lattice parameters (Å, degrees): 3.8125 3.8125 9.0874 90.00 90.00 120.00
Sites, in units of the cell vectors:
1 Er 0.0000 0.0000 0.0000
2 Pu 0.3333 0.6667 0.6685
3 Pu 0.6667 0.3333 0.3315
4 O 0.0000 0.0000 0.2611
5 O 0.0000 0.0000 0.7389
6 O 0.3333 0.6667 0.4169
7 O 0.3333 0.6667 0.9064
8 O 0.6667 0.3333 0.0936
9 O 0.6667 0.3333 0.5831

The 12 most intense peaks (5° ≤ 2θ ≤ 70°), low angle first:
2theta	I/Imax
9.73	39
19.54	13
28.77	1000
29.49	309
33.55	474
47.71	329
48.65	313
56.67	156
57.09	301
57.92	145
59.58	103
61.20	32

=====

[4]
Dy5Er8Zr: calculated powder diffraction line list (Cu Kα, 1.54184 Å), based on the GGA-PBE geometry in Alexandria.
Lines closer than 0.1° are merged.

Structural model:
Lattice parameters (Å, degrees): 8.3014 8.3014 9.2071 123.03 123.03 71.21
Sites, in units of the cell vectors:
1 Dy 0.0000 0.0000 0.0000
2 Dy 0.2293 0.7703 0.2875
3 Dy 0.2297 0.7707 0.7125
4 Dy 0.3958 0.2513 0.0196
5 Dy 0.7487 0.6042 0.9804
6 Er 0.0326 0.5263 0.7803
7 Er 0.1632 0.4091 0.2885
8 Er 0.3920 0.2479 0.6212
9 Er 0.4737 0.9674 0.2197
10 Er 0.5910 0.8368 0.7115
11 Er 0.7521 0.6080 0.3788
12 Er 0.8683 0.1220 0.6790
13 Er 0.8780 0.1317 0.3210
14 Zr 0.6107 0.3893 0.5000

The 12 most intense peaks (5° ≤ 2θ ≤ 70°), low angle first:
2theta	I/Imax
28.28	914
29.11	565
30.57	1000
32.09	831
32.44	823
34.20	425
34.42	463
34.59	431
35.25	287
35.88	417
39.58	321
61.08	286